This entry pairs a crystal structure of NdCu12Si7 with its calculated powder XRD pattern. Radiation: λ = 1.5418 Å (Cu Kα). Structure: DFT lattice parameters and positions (GGA-PBE).

Most intense lines, 15° ≤ 2θ ≤ 90°, in order of rising 2θ:
| 2θ (°) | d_spacing | Rel. int. | (hkl) |
| --- | --- | --- | --- |
| 33.1 | 2.705 | 100 | 1 3 1 |
| 36.2 | 2.483 | 46 | 4 0 1 |
| 41.9 | 2.157 | 77 | 3 1 2 |
| 43.4 | 2.087 | 56 | 3 3 0 |
| 43.9 | 2.064 | 43 | 0 0 3 |
| 44.4 | 2.040 | 41 | 0 4 2 |
| 63.4 | 1.467 | 23 | 3 3 3 |
| 67.6 | 1.385 | 26 | 0 7 2 |

Crystal structure
a = 12.5219 Å, b = 12.5219 Å, c = 6.1917 Å
α = 90.00°, β = 90.00°, γ = 120.00°
Space group R-3m (No. 166, hexagonal axes)
Asymmetric unit:
1 Nd 0.0000 0.0000 0.0000
2 Cu 0.0000 0.2604 0.0000
3 Cu 0.1104 0.2208 0.3205
4 Si 0.0000 0.0000 0.5000
5 Si 0.0999 0.5500 0.3761